# 1
For Tm2AlRu, the GGA-PBE geometry in the Materials Project gives the computed XRD peak list in this record (Cu Ka).

Principal peaks in the range 2θ = 5–70°, in order of falling intensity:
2θ (°)  I (rel.)
36.8  100
66.3  36
25.8  24
53.0  18
59.9  10
45.5  7
22.3  7
43.4  3
58.2  1

Cell and atoms:
```
Tm2AlRu
1.0
6.910 0.000 0.000
0.000 6.910 0.000
0.000 0.000 6.910
Tm Al Ru
8 4 4
direct
0.250 0.250 0.250
0.250 0.250 0.750
0.250 0.750 0.250
0.250 0.750 0.750
0.750 0.250 0.250
0.750 0.250 0.750
0.750 0.750 0.250
0.750 0.750 0.750
0.000 0.000 0.000
0.000 0.500 0.500
0.500 0.000 0.500
0.500 0.500 0.000
0.000 0.000 0.500
0.000 0.500 0.000
0.500 0.000 0.000
0.500 0.500 0.500
```


# 2
For UAl10Ru2, the GGA-PBE geometry in the Materials Project gives the computed XRD peak list in this record (Cu Ka).

Principal peaks in the range 2θ = 5–70°, in order of falling intensity:
2θ (°)  I (rel.)
27.9  100
39.9  85
40.4  75
16.3  75
40.5  67
13.1  67
28.1  62
34.3  59
19.9  48
36.9  45
40.1  45
23.6  44

Cell and atoms:
```
UAl10Ru2
1.0
4.501 -5.131 0.000
4.501 5.131 0.000
0.000 0.000 9.094
U Al Ru
2 20 4
direct
0.124 0.876 0.750
0.876 0.124 0.250
0.142 0.410 0.750
0.155 0.845 0.101
0.155 0.845 0.399
0.220 0.480 0.250
0.224 0.224 0.000
0.224 0.224 0.500
0.377 0.623 0.549
0.377 0.623 0.951
0.410 0.142 0.250
0.480 0.220 0.750
0.520 0.780 0.250
0.590 0.858 0.750
0.623 0.377 0.049
0.623 0.377 0.451
0.776 0.776 0.000
0.776 0.776 0.500
0.780 0.520 0.750
0.845 0.155 0.601
0.845 0.155 0.899
0.858 0.590 0.250
0.000 0.500 0.000
0.000 0.500 0.500
0.500 0.000 0.000
0.500 0.000 0.500
```


# 3
For UAlRu, the GGA-PBE geometry in the Materials Project gives the computed XRD peak list in this record (Cu Ka).

Principal peaks in the range 2θ = 5–70°, in order of falling intensity:
2θ (°)  I (rel.)
37.5  100
34.1  77
30.6  35
21.1  31
61.3  31
26.4  27
43.0  25
40.9  22
56.9  22
15.2  17
46.5  16
53.7  15

Cell and atoms:
```
UAlRu
1.0
6.742 0.000 0.000
-3.371 5.839 0.000
0.000 0.000 4.207
U Al Ru
3 3 3
direct
0.000 0.425 0.000
0.425 0.000 0.000
0.575 0.575 0.000
0.000 0.766 0.500
0.234 0.234 0.500
0.766 0.000 0.500
0.000 0.000 0.000
0.333 0.667 0.500
0.667 0.333 0.500
```


# 4
For YAl10Ru2, the GGA-PBE geometry in the Materials Project gives the computed XRD peak list in this record (Cu Ka).

Principal peaks in the range 2θ = 5–70°, in order of falling intensity:
2θ (°)  I (rel.)
40.4  100
39.7  67
17.3  50
27.7  45
26.2  44
45.2  40
39.4  33
32.8  24
36.6  22
57.8  21
34.2  21
44.5  19

Cell and atoms:
```
YAl10Ru2
1.0
4.548 -5.126 0.000
4.548 5.126 0.000
0.000 0.000 9.147
Y Al Ru
2 20 4
direct
0.126 0.874 0.750
0.874 0.126 0.250
0.139 0.414 0.750
0.156 0.844 0.099
0.156 0.844 0.401
0.223 0.479 0.250
0.227 0.227 0.000
0.227 0.227 0.500
0.377 0.623 0.549
0.377 0.623 0.951
0.414 0.139 0.250
0.479 0.223 0.750
0.521 0.777 0.250
0.586 0.861 0.750
0.623 0.377 0.049
0.623 0.377 0.451
0.773 0.773 0.000
0.773 0.773 0.500
0.777 0.521 0.750
0.844 0.156 0.599
0.844 0.156 0.901
0.861 0.586 0.250
0.000 0.500 0.000
0.000 0.500 0.500
0.500 0.000 0.000
0.500 0.000 0.500
```


# 5
For Zr6Al16Ru7, the GGA-PBE geometry in the Materials Project gives the computed XRD peak list in this record (Cu Ka).

Principal peaks in the range 2θ = 5–70°, in order of falling intensity:
2θ (°)  I (rel.)
41.3  100
28.9  52
37.8  37
35.6  23
31.5  19
48.8  16
57.2  13
67.7  12
20.3  12
63.8  11
59.8  11
51.2  10

Cell and atoms:
```
Zr6Al16Ru7
1.0
0.000 6.186 6.186
6.186 0.000 6.186
6.186 6.186 0.000
Zr Al Ru
6 16 7
direct
0.204 0.204 0.796
0.204 0.796 0.204
0.204 0.796 0.796
0.796 0.204 0.204
0.796 0.204 0.796
0.796 0.796 0.204
0.142 0.619 0.619
0.163 0.163 0.163
0.163 0.163 0.510
0.163 0.510 0.163
0.381 0.381 0.381
0.381 0.381 0.858
0.381 0.858 0.381
0.490 0.837 0.837
0.510 0.163 0.163
0.619 0.142 0.619
0.619 0.619 0.142
0.619 0.619 0.619
0.837 0.490 0.837
0.837 0.837 0.490
0.837 0.837 0.837
0.858 0.381 0.381
0.000 0.000 0.500
0.000 0.500 0.000
0.000 0.500 0.500
0.500 0.000 0.000
0.500 0.000 0.500
0.500 0.500 0.000
0.500 0.500 0.500
```


# 6
For Al2S3, the GGA-PBE geometry in the Materials Project gives the computed XRD peak list in this record (Cu Ka).

Principal peaks in the range 2θ = 5–70°, in order of falling intensity:
2θ (°)  I (rel.)
8.1  100
14.8  21
15.1  11
14.5  9
28.1  5
20.7  5
16.2  5
14.2  4
30.4  4
29.8  4
20.6  4
27.3  4

Cell and atoms:
```
Al2S3
1.0
6.847 0.000 0.000
3.174 6.375 0.000
2.309 1.584 21.869
Al S
12 18
direct
0.000 0.000 0.000
0.003 0.766 0.345
0.231 0.489 0.938
0.325 0.330 0.271
0.435 0.878 0.848
0.501 0.423 0.402
0.512 0.146 0.891
0.768 0.866 0.658
0.841 0.237 0.207
0.906 0.290 0.831
0.942 0.218 0.381
0.960 0.823 0.780
0.094 0.782 0.684
0.108 0.664 0.021
0.128 0.062 0.144
0.211 0.715 0.852
0.242 0.191 0.794
0.288 0.634 0.476
0.305 0.147 0.363
0.350 0.608 0.310
0.465 0.987 0.626
0.513 0.300 0.181
0.704 0.163 0.792
0.745 0.645 0.795
0.788 0.248 0.932
0.815 0.587 0.322
0.827 0.098 0.304
0.964 0.497 0.234
0.976 0.225 0.064
0.988 0.860 0.441
```


# 7
For Al5S8, the GGA-PBE geometry in the Materials Project gives the computed XRD peak list in this record (Cu Ka).

Principal peaks in the range 2θ = 5–70°, in order of falling intensity:
2θ (°)  I (rel.)
36.1  100
52.0  83
31.2  46
15.4  31
29.8  28
47.5  21
65.0  20
61.9  13
17.8  5
67.2  5
54.6  4
25.3  4

Cell and atoms:
```
Al5S8
1.0
0.000 4.972 4.972
4.972 0.000 4.972
4.972 4.972 0.000
Al S
5 8
direct
0.000 0.000 0.000
0.150 0.617 0.617
0.617 0.150 0.617
0.617 0.617 0.150
0.617 0.617 0.617
0.379 0.379 0.379
0.379 0.379 0.863
0.379 0.863 0.379
0.401 0.866 0.866
0.863 0.379 0.379
0.866 0.401 0.866
0.866 0.866 0.401
0.866 0.866 0.866
```


# 8
For Al2S3, the GGA-PBE geometry in the Materials Project gives the computed XRD peak list in this record (Cu Ka).

Principal peaks in the range 2θ = 5–70°, in order of falling intensity:
2θ (°)  I (rel.)
35.8  100
51.5  91
30.9  46
29.5  33
15.3  27
47.1  24
64.3  19
61.3  12
25.1  8
66.6  5
54.1  4
18.6  4

Cell and atoms:
```
Al2S3
1.0
-3.549 3.549 15.042
3.549 -3.549 15.042
3.549 3.549 -15.042
Al S
16 24
direct
0.000 0.000 0.000
0.000 0.000 0.500
0.000 0.500 0.000
0.146 0.668 0.478
0.205 0.455 0.750
0.310 0.332 0.978
0.332 0.310 0.478
0.332 0.854 0.022
0.455 0.205 0.250
0.500 0.000 0.500
0.545 0.795 0.750
0.668 0.146 0.978
0.668 0.690 0.522
0.690 0.668 0.022
0.795 0.545 0.250
0.854 0.332 0.522
0.078 0.091 0.513
0.078 0.566 0.987
0.091 0.078 0.013
0.107 0.587 0.520
0.242 0.750 0.492
0.243 0.250 0.992
0.250 0.243 0.492
0.250 0.758 0.008
0.413 0.433 0.520
0.413 0.893 0.980
0.433 0.413 0.020
0.434 0.922 0.513
0.566 0.078 0.487
0.567 0.587 0.980
0.587 0.107 0.020
0.587 0.567 0.480
0.750 0.242 0.992
0.750 0.757 0.508
0.757 0.750 0.008
0.758 0.250 0.508
0.893 0.413 0.480
0.909 0.922 0.987
0.922 0.434 0.013
0.922 0.909 0.487
```